Diffraction record for Co2H31S2N9O11. The X-ray diffraction stick pattern is calculated, not measured: it uses a cell relaxed with PBE+U and Cu Kα.
Lines closer than 0.1° are merged.

Top 6 peaks for 10 to 90 degrees two-theta, by intensity:
14.65°, I 100, (1 1 1); 18.97°, I 92, (1 -1 0); 10.94°, I 71, (0 1 0); 21.40°, I 50, (1 2 1); 21.78°, I 46, (0 0 2); 10.84°, I 41, (0 0 1)

Atomic structure:
Cell lengths 7.0552, 8.8252, 9.2478 Å; angles 68.20, 67.61, 73.66 degrees
Space group P1 (No. 1)
One atom of each set of equivalent atoms:
Co  0.0000  0.0000  0.0000 [1 per cell]
Co  0.0757  0.2372  0.6578 [1 per cell]
H  0.0102  0.2526  0.0550 [1 per cell]
H  0.0368  0.7949  0.8505 [1 per cell]
H  0.0403  0.4550  0.8041 [1 per cell]
H  0.0891  0.9740  0.5724 [1 per cell]
H  0.0970  0.8492  0.2665 [1 per cell]
H  0.1239  0.6945  0.0103 [1 per cell]
H  0.2287  0.0046  0.1502 [1 per cell]
H  0.2387  0.1005  0.4116 [1 per cell]
H  0.2681  0.8119  0.8422 [1 per cell]
H  0.3087  0.4087  0.3743 [1 per cell]
H  0.3106  0.8265  0.1077 [1 per cell]
H  0.3285  0.9748  0.5654 [1 per cell]
H  0.3542  0.0567  0.7941 [1 per cell]
H  0.3719  0.4371  0.5195 [1 per cell]
H  0.4083  0.4825  0.7462 [1 per cell]
H  0.4677  0.2632  0.4683 [1 per cell]
H  0.5035  0.6406  0.6226 [1 per cell]
H  0.5743  0.6022  0.0310 [1 per cell]
H  0.6295  0.9860  0.1727 [1 per cell]
H  0.6671  0.7605  0.9062 [1 per cell]
H  0.7122  0.1871  0.8855 [1 per cell]
H  0.7246  0.8117  0.1236 [1 per cell]
H  0.7599  0.4176  0.5395 [1 per cell]
H  0.7633  0.2600  0.0704 [1 per cell]
H  0.7796  0.8373  0.2742 [1 per cell]
H  0.8008  0.4522  0.8143 [1 per cell]
H  0.8057  0.0322  0.8045 [1 per cell]
H  0.8447  0.2428  0.4885 [1 per cell]
H  0.8541  0.1389  0.2242 [1 per cell]
H  0.9544  0.5609  0.6439 [1 per cell]
H  0.9816  0.3977  0.3825 [1 per cell]
S  0.3320  0.3679  0.0795 [1 per cell]
S  0.7453  0.8842  0.5720 [1 per cell]
N  0.1175  0.8044  0.9177 [1 per cell]
N  0.1784  0.9070  0.1477 [1 per cell]
N  0.1972  0.0486  0.5370 [1 per cell]
N  0.3376  0.3520  0.4851 [1 per cell]
N  0.7584  0.8953  0.1605 [1 per cell]
N  0.8457  0.1122  0.8411 [1 per cell]
N  0.8923  0.3380  0.4977 [1 per cell]
N  0.8938  0.1831  0.0981 [1 per cell]
N  0.9522  0.4527  0.7388 [1 per cell]
O  0.2017  0.4747  0.1875 [1 per cell]
O  0.2175  0.1233  0.8250 [1 per cell]
O  0.2437  0.4034  0.9451 [1 per cell]
O  0.3408  0.1889  0.1759 [1 per cell]
O  0.4838  0.5319  0.6288 [1 per cell]
O  0.5329  0.8365  0.6491 [1 per cell]
O  0.5486  0.4092  0.0068 [1 per cell]
O  0.5934  0.7121  0.0236 [1 per cell]
O  0.7327  0.0608  0.4693 [1 per cell]
O  0.8303  0.8601  0.7066 [1 per cell]
O  0.8829  0.7745  0.4693 [1 per cell]